[1]
This entry pairs a crystal structure of V2Bi4O11 with its calculated powder diffractogram. Radiation: a wavelength of 1.5418 Å. Structure: the GGA+U geometry in Alexandria.
Neutral-atom scattering factors, no anomalous dispersion.

Top 6 peaks for 2θ from 10° to 90°, by angle:
- 10.53 deg, rel. 300, hkl 0 0 1
- 21.09 deg, rel. 365, hkl 1 0 -1
- 24.86 deg, rel. 1000, hkl 1 1 2
- 26.28 deg, rel. 405, hkl 0 1 -2
- 27.69 deg, rel. 374, hkl 1 2 0
- 29.06 deg, rel. 377, hkl 1 0 -2

Structure:
abc: 5.734 6.784 8.582
angles: 82.29 78.90 70.55
Space group P1 (No. 1)
Inequivalent atoms, fractional coordinates:
V (0.000, 0.000, 0.000) x1
V (0.096, 0.745, 0.556) x1
Bi (0.120, 0.480, 0.008) x1
Bi (0.489, 0.856, 0.206) x1
Bi (0.536, 0.894, 0.685) x1
Bi (0.583, 0.300, 0.336) x1
O (0.093, 0.200, 0.883) x1
O (0.264, 0.663, 0.365) x1
O (0.272, 0.780, 0.013) x1
O (0.315, 0.677, 0.689) x1
O (0.373, 0.278, 0.160) x1
O (0.486, 0.986, 0.441) x1
O (0.780, 0.537, 0.187) x1
O (0.786, 0.907, 0.943) x1
O (0.871, 0.619, 0.633) x1
O (0.897, 0.071, 0.195) x1
O (0.922, 0.002, 0.560) x1


[2]
This entry pairs a crystal structure of VBiO4 with its calculated powder diffractogram. Radiation: a wavelength of 1.5418 Å. Structure: the GGA+U geometry in Alexandria.
Neutral-atom scattering factors, no anomalous dispersion.

Top 6 peaks for 2θ from 10° to 90°, by angle:
- 18.86 deg, rel. 351, hkl 1 1 0
- 22.22 deg, rel. 428, hkl 0 2 1
- 25.18 deg, rel. 1000, hkl 1 1 1
- 29.74 deg, rel. 256, hkl 0 4 0
- 32.95 deg, rel. 738, hkl 1 3 1
- 59.38 deg, rel. 321, hkl 1 7 1

Structure:
abc: 5.113 12.017 5.364
angles: 90.00 90.00 90.00
Space group Pbcn (No. 60)
Inequivalent atoms, fractional coordinates:
V (0.000, 0.105, 0.250) x4
Bi (0.000, 0.384, 0.250) x4
O (0.151, 0.194, 0.045) x8
O (0.245, 0.466, 0.921) x8


[3]
This entry pairs a crystal structure of V2Bi4O11 with its calculated powder diffractogram. Radiation: a wavelength of 1.5418 Å. Structure: the GGA+U geometry in Alexandria.
Neutral-atom scattering factors, no anomalous dispersion.

Top 6 peaks for 2θ from 10° to 90°, by angle:
- 11.33 deg, rel. 515, hkl 0 0 1
- 27.44 deg, rel. 1000, hkl 1 2 1
- 28.37 deg, rel. 858, hkl 1 2 -2
- 31.13 deg, rel. 308, hkl 0 4 0
- 44.74 deg, rel. 250, hkl 2 4 -1
- 47.12 deg, rel. 295, hkl 0 4 3

Structure:
abc: 5.718 11.492 8.195
angles: 90.00 107.69 90.00
Space group P2_1 (No. 4)
Inequivalent atoms, fractional coordinates:
V (0.018, 0.000, 0.473) x2
V (0.481, 0.773, 0.527) x2
Bi (0.145, 0.758, 0.846) x2
Bi (0.235, 0.260, 0.836) x2
Bi (0.265, 0.514, 0.164) x2
Bi (0.354, 0.015, 0.154) x2
O (0.007, 0.895, 0.009) x2
O (0.013, 0.052, 0.672) x2
O (0.020, 0.142, 0.997) x2
O (0.112, 0.105, 0.360) x2
O (0.247, 0.438, 0.662) x2
O (0.249, 0.887, 0.500) x2
O (0.254, 0.335, 0.339) x2
O (0.387, 0.669, 0.640) x2
O (0.480, 0.632, 0.002) x2
O (0.487, 0.722, 0.328) x2
O (0.492, 0.879, 0.990) x2


[4]
This entry pairs a crystal structure of YVBi2O8 with its calculated powder diffractogram. Radiation: a wavelength of 1.5418 Å. Structure: the GGA+U geometry in Alexandria.
Neutral-atom scattering factors, no anomalous dispersion.

Top 6 peaks for 2θ from 10° to 90°, by angle:
- 13.81 deg, rel. 325, hkl 0 0 1
- 23.79 deg, rel. 1000, hkl 0 1 1
- 33.72 deg, rel. 725, hkl 1 1 0
- 34.08 deg, rel. 569, hkl 1 0 2
- 41.69 deg, rel. 428, hkl 2 0 1
- 48.70 deg, rel. 335, hkl 0 2 2

Structure:
abc: 5.3164 5.3164 6.4105
angles: 90.00 90.00 120.00
Space group P-3m1 (No. 164)
Inequivalent atoms, fractional coordinates:
Y (0.0000, 0.0000, 0.0000) x1
V (0.0000, 0.0000, 0.5000) x1
Bi (0.3333, 0.6667, 0.3554) x2
O (0.1600, 0.3201, 0.6797) x6
O (0.3333, 0.6667, 0.0405) x2


[5]
This entry pairs a crystal structure of VZnBiO5 with its calculated powder diffractogram. Radiation: a wavelength of 1.5418 Å. Structure: the GGA+U geometry in Alexandria.
Neutral-atom scattering factors, no anomalous dispersion.

Top 6 peaks for 2θ from 10° to 90°, by angle:
- 14.03 deg, rel. 357, hkl 0 1 1
- 17.87 deg, rel. 394, hkl 1 0 0
- 25.03 deg, rel. 854, hkl 1 1 -2
- 29.27 deg, rel. 1000, hkl 1 2 1
- 33.04 deg, rel. 553, hkl 1 3 -2
- 34.37 deg, rel. 367, hkl 2 1 -1

Structure:
abc: 5.355 11.845 8.048
angles: 90.00 112.09 90.00
Space group P2_1/c (No. 14)
Inequivalent atoms, fractional coordinates:
V (0.174, 0.148, 0.463) x4
Zn (0.455, 0.584, 0.332) x4
Bi (0.063, 0.595, 0.679) x4
O (0.164, 0.676, 0.150) x4
O (0.226, 0.076, 0.662) x4
O (0.241, 0.524, 0.484) x4
O (0.294, 0.067, 0.324) x4
O (0.313, 0.216, 0.005) x4


[6]
This entry pairs a crystal structure of ZrV2BiO8 with its calculated powder diffractogram. Radiation: a wavelength of 1.5418 Å. Structure: the GGA+U geometry in Alexandria.
Neutral-atom scattering factors, no anomalous dispersion.

Top 6 peaks for 2θ from 10° to 90°, by angle:
- 18.61 deg, rel. 507, hkl 1 0 1
- 24.79 deg, rel. 1000, hkl 2 0 0
- 31.17 deg, rel. 199, hkl 2 1 1
- 33.18 deg, rel. 680, hkl 1 1 2
- 35.34 deg, rel. 214, hkl 2 2 0
- 49.25 deg, rel. 602, hkl 3 1 2

Structure:
abc: 7.184 7.184 6.375
angles: 90.00 90.00 90.00
Space group I-4m2 (No. 119)
Inequivalent atoms, fractional coordinates:
Zr (0.000, 0.000, 0.000) x2
V (0.000, 0.000, 0.500) x2
V (0.000, 0.500, 0.250) x2
Bi (0.000, 0.500, 0.750) x2
O (0.000, 0.174, 0.708) x8
O (0.000, 0.309, 0.082) x8


[7]
This entry pairs a crystal structure of Bi14WO24 with its calculated powder diffractogram. Radiation: a wavelength of 1.5418 Å. Structure: the GGA+U geometry in Alexandria.
Neutral-atom scattering factors, no anomalous dispersion.

Top 6 peaks for 2θ from 10° to 90°, by angle:
- 27.16 deg, rel. 1000, hkl 2 1 0
- 27.29 deg, rel. 991, hkl 2 1 -3
- 30.98 deg, rel. 317, hkl 0 0 3
- 31.82 deg, rel. 511, hkl -3 1 1
- 44.98 deg, rel. 284, hkl -3 1 4
- 53.94 deg, rel. 243, hkl 5 0 -4

Structure:
abc: 8.891 8.894 10.667
angles: 114.19 114.48 90.19
Space group P1 (No. 1)
Inequivalent atoms, fractional coordinates:
Bi (0.000, 0.000, 0.000) x1
Bi (0.026, 0.849, 0.343) x1
Bi (0.088, 0.734, 0.665) x1
Bi (0.111, 0.571, 0.002) x1
Bi (0.221, 0.441, 0.317) x1
Bi (0.271, 0.320, 0.663) x1
Bi (0.339, 0.229, 0.995) x1
Bi (0.425, 0.072, 0.346) x1
Bi (0.495, 0.925, 0.669) x1
Bi (0.615, 0.657, 0.342) x1
Bi (0.691, 0.515, 0.670) x1
Bi (0.776, 0.342, 0.007) x1
Bi (0.838, 0.264, 0.349) x1
Bi (0.894, 0.133, 0.682) x1
W (0.577, 0.814, 0.025) x1
O (0.012, 0.546, 0.159) x1
O (0.050, 0.118, 0.506) x1
O (0.058, 0.461, 0.505) x1
O (0.098, 0.029, 0.841) x1
O (0.148, 0.331, 0.838) x1
O (0.178, 0.908, 0.242) x1
O (0.225, 0.790, 0.505) x1
O (0.259, 0.188, 0.159) x1
O (0.315, 0.493, 0.160) x1
O (0.375, 0.290, 0.494) x1
O (0.431, 0.618, 0.941) x1
O (0.433, 0.171, 0.767) x1
O (0.467, 0.961, 0.963) x1
O (0.548, 0.608, 0.495) x1
O (0.558, 0.970, 0.514) x1
O (0.670, 0.900, 0.234) x1
O (0.679, 0.411, 0.242) x1
O (0.739, 0.295, 0.518) x1
O (0.747, 0.778, 0.969) x1
O (0.795, 0.088, 0.848) x1
O (0.853, 0.390, 0.846) x1
O (0.887, 0.790, 0.506) x1
O (0.937, 0.676, 0.766) x1
O (0.954, 0.241, 0.162) x1


[8]
This entry pairs a crystal structure of BiW2O8 with its calculated powder diffractogram. Radiation: a wavelength of 1.5418 Å. Structure: the GGA+U geometry in Alexandria.
Neutral-atom scattering factors, no anomalous dispersion.

Top 6 peaks for 2θ from 10° to 90°, by angle:
- 19.04 deg, rel. 399, hkl 1 0 0
- 22.96 deg, rel. 706, hkl 0 1 2
- 28.49 deg, rel. 1000, hkl 1 1 1
- 29.10 deg, rel. 951, hkl 1 1 -3
- 34.54 deg, rel. 502, hkl 1 2 -1
- 34.68 deg, rel. 415, hkl 2 0 -2

Structure:
abc: 5.175 6.005 11.255
angles: 90.00 115.75 90.00
Space group P2/c (No. 13)
Inequivalent atoms, fractional coordinates:
Bi (0.000, 0.159, 0.250) x2
W (0.227, 0.334, 0.991) x4
O (0.158, 0.412, 0.607) x4
O (0.227, 0.142, 0.119) x4
O (0.248, 0.125, 0.877) x4
O (0.342, 0.395, 0.407) x4